[1]
Calculated PXRD pattern of Be4Co5W for Cu Kα X-rays, from a structure optimized by DFT (PBE).

Atomic structure:
a = 2.634 Å, b = 2.634 Å, c = 13.936 Å
α = 90.00°, β = 90.00°, γ = 90.00°
Space group P4/mmm (No. 123)
Inequivalent atoms, fractional coordinates:
Be 0.000 0.000 0.092
Be 0.000 0.000 0.277
Co 0.500 0.500 0.000
Co 0.500 0.500 0.184
Co 0.500 0.500 0.369
W 0.000 0.000 0.500

The 10 most intense peaks (5° ≤ 2θ ≤ 70°), in order of falling intensity:
2θ/deg	I/Imax
6.34	100
47.50	35
12.70	23
48.91	22
34.66	18
36.47	16
43.05	16
39.33	15
38.77	10
64.09	10

[2]
Calculated PXRD pattern of Zr3Be4Co4 for Cu Kα X-rays, from a structure optimized by DFT (PBE).

Atomic structure:
a = 6.575 Å, b = 6.575 Å, c = 6.575 Å
α = 90.00°, β = 90.00°, γ = 90.00°
Space group I-43m (No. 217)
Inequivalent atoms, fractional coordinates:
Zr 0.000 0.000 0.500
Be 0.114 0.114 0.114
Co 0.204 0.204 0.796

The 10 most intense peaks (5° ≤ 2θ ≤ 70°), in order of falling intensity:
2θ/deg	I/Imax
38.74	100
33.38	37
43.53	17
59.66	14
55.94	10
19.09	9
52.04	9
63.25	8
66.73	8
27.12	4

[3]
Calculated PXRD pattern of Zr3Be6Co5 for Cu Kα X-rays, from a structure optimized by DFT (PBE).

Atomic structure:
a = 3.603 Å, b = 10.767 Å, c = 8.498 Å
α = 90.00°, β = 90.00°, γ = 90.00°
Space group Pmmn (No. 59, origin choice 2)
Inequivalent atoms, fractional coordinates:
Zr 0.250 0.061 0.249
Zr 0.250 0.750 0.256
Be 0.250 0.089 0.872
Be 0.250 0.250 0.030
Be 0.250 0.250 0.459
Be 0.250 0.634 0.535
Co 0.250 0.071 0.594
Co 0.250 0.605 0.985
Co 0.250 0.750 0.756

The 10 most intense peaks (5° ≤ 2θ ≤ 70°), in order of falling intensity:
2θ/deg	I/Imax
41.38	100
40.53	73
35.30	49
36.90	33
26.93	32
50.68	31
39.64	26
44.01	19
20.91	19
50.88	19

[4]
Calculated PXRD pattern of ZrBeCo3 for Cu Kα X-rays, from a structure optimized by DFT (PBE).

Atomic structure:
a = 3.937 Å, b = 3.937 Å, c = 3.937 Å
α = 90.00°, β = 90.00°, γ = 90.00°
Space group Pm-3m (No. 221)
Inequivalent atoms, fractional coordinates:
Zr 0.000 0.000 0.000
Be 0.500 0.500 0.500
Co 0.000 0.500 0.500

The 7 most intense peaks (5° ≤ 2θ ≤ 70°), in order of falling intensity:
2θ/deg	I/Imax
39.66	100
46.12	52
67.27	31
32.16	5
22.59	3
57.33	2
51.94	1

[5]
Calculated PXRD pattern of Be23Cr6 for Cu Kα X-rays, from a structure optimized by DFT (PBE).

Atomic structure:
a = 9.929 Å, b = 9.929 Å, c = 9.929 Å
α = 90.00°, β = 90.00°, γ = 90.00°
Space group Fm-3m (No. 225)
Inequivalent atoms, fractional coordinates:
Be 0.000 0.000 0.000
Be 0.000 0.250 0.250
Be 0.120 0.120 0.120
Be 0.170 0.170 0.330
Cr 0.000 0.000 0.313

The 10 most intense peaks (5° ≤ 2θ ≤ 70°), in order of falling intensity:
2θ/deg	I/Imax
47.59	100
15.46	87
39.57	55
31.21	54
17.87	50
44.72	42
36.19	26
55.53	26
52.11	19
67.35	19

[6]
Calculated PXRD pattern of Be24Cr5 for Cu Kα X-rays, from a structure optimized by DFT (PBE).

Atomic structure:
a = 7.929 Å, b = 7.929 Å, c = 7.929 Å
α = 90.00°, β = 90.00°, γ = 90.00°
Space group I-43m (No. 217)
Inequivalent atoms, fractional coordinates:
Be 0.036 0.350 0.650
Be 0.092 0.092 0.719
Cr 0.000 0.000 0.000
Cr 0.186 0.186 0.186

The 10 most intense peaks (5° ≤ 2θ ≤ 70°), in order of falling intensity:
2θ/deg	I/Imax
48.72	100
27.55	68
15.81	56
42.67	37
31.92	31
22.43	19
56.89	12
54.26	7
59.44	6
69.07	5

[7]
Calculated PXRD pattern of Dy3BeCrS7 for Cu Kα X-rays, from a structure optimized by DFT (PBE).

Atomic structure:
a = 9.5523 Å, b = 9.5523 Å, c = 6.0518 Å
α = 90.00°, β = 90.00°, γ = 120.00°
Space group P6_3 (No. 173)
Inequivalent atoms, fractional coordinates:
Dy 0.1561 0.3945 0.0000
Be 0.3333 0.6667 0.4116
Cr 0.0000 0.0000 0.3297
S 0.0956 0.2275 0.5855
S 0.1001 0.5776 0.2790
S 0.3333 0.6667 0.7614

The 10 most intense peaks (5° ≤ 2θ ≤ 70°), in order of falling intensity:
2θ/deg	I/Imax
26.09	100
18.16	90
35.78	71
28.55	68
41.53	65
50.36	53
36.80	39
42.12	35
23.73	33
52.93	30